Diffraction record for UTlIn2Te4. The XRD peak list is computed, not measured: it uses a GGA-PBE-relaxed structure and copper Kα.

Structure:
```
UTlIn2Te4
1.0
8.0485 0.0000 0.0000
0.0000 4.3786 0.0000
-2.4850 0.0000 7.9444
U Tl In Te
1 1 2 4
Direct
0.0000 0.0000 0.0000
0.0000 0.5000 0.5000
0.5000 0.0000 0.5000
0.5000 0.5000 0.0000
0.2301 0.5000 0.2169
0.2477 0.0000 0.7878
0.7523 0.0000 0.2122
0.7699 0.5000 0.7831
```

The 12 most intense peaks (5 to 70 degrees two-theta), in order of rising 2θ:
- 2θ = 11.52°, I 135, hkl 1 0 0
- 2θ = 27.05°, I 506, hkl 2 0 -2
- 2θ = 27.45°, I 1000, hkl 1 1 1
- 2θ = 37.10°, I 204, hkl 2 0 2
- 2θ = 38.44°, I 359, hkl 1 1 -3
- 2θ = 39.40°, I 387, hkl 3 1 -1
- 2θ = 41.24°, I 181, hkl 0 2 0
- 2θ = 45.68°, I 92, hkl 0 0 4
- 2θ = 47.34°, I 119, hkl 4 0 0
- 2θ = 50.01°, I 205, hkl 2 2 -2
- 2θ = 56.66°, I 120, hkl 2 2 2
- 2θ = 63.94°, I 89, hkl 5 1 -3